No. 1
Diffraction record for ThTe2H. The powder X-ray diffraction pattern is theoretical, not measured: it uses DFT lattice parameters and positions (GGA-PBE) and Cu Ka.

Peak list (12 most intense, 2θ = 15–90°, sorted by position)
2θ = 24.3°, rel. 15
2θ = 25.5°, rel. 44
2θ = 27.5°, rel. 33
2θ = 31.3°, rel. 100
2θ = 35.5°, rel. 34
2θ = 38.6°, rel. 16
2θ = 40.8°, rel. 17
2θ = 43.5°, rel. 37
2θ = 43.7°, rel. 15
2θ = 52.3°, rel. 13
2θ = 52.4°, rel. 11
2θ = 57.5°, rel. 17

Atomic structure:
```
ThTe2H
1.0
3.663 -2.072 0.000
3.663 2.072 0.000
-3.648 0.000 7.003
Th Te H
1 2 1
Direct
0.000 0.000 0.000
0.525 0.525 0.704
0.820 0.820 0.296
0.334 0.334 0.000
```

***

No. 2
Diffraction record for BaDyTlAg. The powder X-ray diffraction pattern is theoretical, not measured: it uses DFT lattice parameters and positions (GGA-PBE) and Cu Ka.

Peak list (12 most intense, 2θ = 15–90°, sorted by position)
2θ = 19.4°, rel. 5
2θ = 32.0°, rel. 100
2θ = 37.7°, rel. 3
2θ = 45.8°, rel. 18
2θ = 50.2°, rel. 1
2θ = 57.0°, rel. 38
2θ = 60.8°, rel. 1
2θ = 66.8°, rel. 12
2θ = 70.3°, rel. 1
2θ = 76.0°, rel. 17
2θ = 84.8°, rel. 4
2θ = 88.1°, rel. 1

Atomic structure:
```
BaDyTlAg
1.0
0.000 3.959 3.959
3.959 0.000 3.959
3.959 3.959 0.000
Ba Dy Tl Ag
1 1 1 1
Direct
0.000 0.000 0.000
0.500 0.500 0.500
0.250 0.250 0.250
0.750 0.750 0.750
```

***

No. 3
Diffraction record for TbMg6Ag6. The powder X-ray diffraction pattern is theoretical, not measured: it uses DFT lattice parameters and positions (GGA-PBE) and Cu Ka.

Peak list (12 most intense, 2θ = 15–90°, sorted by position)
2θ = 18.7°, rel. 72
2θ = 26.0°, rel. 36
2θ = 26.1°, rel. 64
2θ = 36.3°, rel. 54
2θ = 36.7°, rel. 100
2θ = 36.8°, rel. 58
2θ = 37.1°, rel. 32
2θ = 37.3°, rel. 31
2θ = 37.9°, rel. 49
2θ = 41.1°, rel. 33
2θ = 41.5°, rel. 69
2θ = 53.8°, rel. 45

Atomic structure:
```
TbMg6Ag6
1.0
-2.818 4.745 4.954
2.818 -4.745 4.954
2.818 4.745 -4.954
Tb Mg Ag
1 6 6
Direct
0.000 0.000 0.000
0.190 0.690 0.500
0.341 0.000 0.341
0.346 0.346 0.000
0.654 0.654 0.000
0.659 0.000 0.659
0.810 0.310 0.500
0.000 0.000 0.500
0.000 0.500 0.000
0.224 0.500 0.724
0.500 0.000 0.000
0.500 0.500 0.500
0.776 0.500 0.276
```

***

No. 4
Diffraction record for Tm3Zn9Cu2. The powder X-ray diffraction pattern is theoretical, not measured: it uses DFT lattice parameters and positions (GGA-PBE) and Cu Ka.

Peak list (12 most intense, 2θ = 15–90°, sorted by position)
2θ = 22.9°, rel. 18
2θ = 29.7°, rel. 26
2θ = 35.0°, rel. 34
2θ = 36.1°, rel. 100
2θ = 36.8°, rel. 38
2θ = 37.0°, rel. 44
2θ = 37.3°, rel. 31
2θ = 39.7°, rel. 27
2θ = 41.9°, rel. 50
2θ = 46.8°, rel. 18
2θ = 71.0°, rel. 22
2θ = 72.8°, rel. 19

Atomic structure:
```
Tm3Zn9Cu2
1.0
-2.156 4.418 6.299
2.156 -4.418 6.299
2.156 4.418 -6.299
Tm Zn Cu
3 9 2
Direct
0.000 0.000 0.000
0.297 0.297 0.000
0.703 0.703 0.000
0.017 0.658 0.359
0.150 0.867 0.283
0.299 0.658 0.641
0.416 0.133 0.283
0.500 0.000 0.500
0.584 0.867 0.717
0.701 0.342 0.359
0.850 0.133 0.717
0.983 0.342 0.641
0.322 0.500 0.822
0.678 0.500 0.178
```